Record 1
# PrZnIn
Computed X-ray diffraction stick pattern, CuKα. Input: the GGA-PBE geometry in the Materials Project.
Intensities are scaled so that the largest is 100.

Most intense lines, 10° ≤ 2θ ≤ 90°, by angle:
31.70°, rel. 100; 37.82°, rel. 61; 46.90°, rel. 11; 50.15°, rel. 27; 61.75°, rel. 28; 64.48°, rel. 25; 68.29°, rel. 10; 77.44°, rel. 7; 86.94°, rel. 11; 89.38°, rel. 11

Cell and atoms:
abc: 4.758 4.758 7.749
angles: 90.00 90.00 120.00
Fractional coordinates of all 6 atoms:
Pr1 0.000 0.000 0.000
Pr2 0.000 0.000 0.500
Zn1 0.333 0.667 0.250
Zn2 0.667 0.333 0.750
In1 0.333 0.667 0.750
In2 0.667 0.333 0.250

=====

Record 2
# Mg14FeW
Computed X-ray diffraction stick pattern, CuKα. Input: the GGA-PBE geometry in the Materials Project.
Intensities are scaled so that the largest is 100.

Most intense lines, 10° ≤ 2θ ≤ 90°, by angle:
16.53°, rel. 58; 18.88°, rel. 30; 24.66°, rel. 35; 33.41°, rel. 31; 34.29°, rel. 17; 36.83°, rel. 24; 38.29°, rel. 100; 50.56°, rel. 19; 67.31°, rel. 18; 72.26°, rel. 18

Cell and atoms:
abc: 6.194 6.194 9.762
angles: 90.00 90.00 120.00
Fractional coordinates of all 16 atoms:
Mg1 0.000 0.000 0.247
Mg2 0.000 0.000 0.753
Mg3 0.022 0.511 0.253
Mg4 0.022 0.511 0.747
Mg5 0.334 0.167 0.500
Mg6 0.337 0.169 0.000
Mg7 0.489 0.511 0.253
Mg8 0.489 0.511 0.747
Mg9 0.489 0.978 0.253
Mg10 0.489 0.978 0.747
Mg11 0.831 0.169 0.000
Mg12 0.831 0.663 0.000
Mg13 0.833 0.167 0.500
Mg14 0.833 0.666 0.500
Fe1 0.333 0.667 0.500
W1 0.333 0.667 0.000